No. 1
The following is a computed X-ray powder pattern of Mg5Si6. It was derived from the PBE geometry in the Materials Project, using Cu Kα, 1.54184 Å.
Neutral-atom scattering factors, no anomalous dispersion.

Cell: 4.314 6.914 7.572 Å, 109.74 105.76 92.59°
Space group P-1 (No. 2)
One atom of each set of equivalent atoms:
Mg (0.000, 0.000, 0.000)
Mg (0.354, 0.069, 0.691)
Mg (0.414, 0.625, 0.839)
Si (0.038, 0.671, 0.116)
Si (0.191, 0.261, 0.393)
Si (0.220, 0.631, 0.429)

Peak list (8 most intense, 10 to 80 degrees two-theta, by angle)
hkl, 2θ (°), I_rel
1 -2 1, 33.9, 48
-1 1 2, 34.6, 60
1 2 -2, 35.4, 90
-1 2 1, 36.6, 45
1 -1 2, 37.0, 63
1 2 0, 38.1, 40
0 3 -2, 40.8, 44
2 0 -1, 41.9, 100

---

No. 2
The following is a computed X-ray powder pattern of Mg4Si7. It was derived from the PBE geometry in the Materials Project, using Cu Kα, 1.54184 Å.
Neutral-atom scattering factors, no anomalous dispersion.

Cell: 4.375 6.676 13.257 Å, 85.17 89.72 89.61°
Space group P1 (No. 1)
One atom of each set of equivalent atoms:
Mg (0.000, 0.000, 0.000)
Mg (0.000, 0.038, 0.490)
Mg (0.001, 0.187, 0.253)
Mg (0.001, 0.503, 0.064)
Mg (0.001, 0.546, 0.413)
Mg (0.500, 0.878, 0.330)
Mg (0.500, 0.975, 0.671)
Mg (0.502, 0.515, 0.744)
Si (0.000, 0.681, 0.626)
Si (0.001, 0.740, 0.220)
Si (0.002, 0.732, 0.814)
Si (0.005, 0.348, 0.857)
Si (0.489, 0.110, 0.849)
Si (0.499, 0.254, 0.384)
Si (0.500, 0.718, 0.525)
Si (0.501, 0.351, 0.555)
Si (0.502, 0.181, 0.126)
Si (0.502, 0.528, 0.239)
Si (0.502, 0.811, 0.106)
Si (0.503, 0.738, 0.928)
Si (0.505, 0.369, 0.961)
Si (0.999, 0.303, 0.653)

Peak list (8 most intense, 10 to 80 degrees two-theta, by angle)
hkl, 2θ (°), I_rel
0 2 -3, 35.1, 25
1 2 2, 35.5, 25
-1 2 2, 35.9, 41
1 2 -2, 37.4, 29
1 -2 2, 37.5, 63
1 0 -5, 39.9, 25
2 0 0, 41.3, 100
0 3 -1, 41.9, 30